No. 1
The following is a calculated X-ray diffraction stick pattern of BaMgGaP2. It was derived from a DFT-relaxed cell (GGA-PBE, Alexandria), using a wavelength of 1.5418 Å.
Peak positions follow from Bragg's law for the DFT cell and can differ from measured ones.

Structure:
a = 7.4273 Å, b = 5.7409 Å, c = 6.2449 Å
α = 90.00°, β = 114.49°, γ = 90.00°
Element x y z (fractional)
Ba1 0.0000 0.2350 0.2500
Ba2 0.0000 0.7650 0.7500
Mg1 0.5000 0.4990 0.2500
Mg2 0.5000 0.5010 0.7500
Ga1 0.5000 0.0000 0.0000
Ga2 0.5000 0.0000 0.5000
P1 0.2537 0.2681 0.8776
P2 0.2537 0.7319 0.3776
P3 0.7463 0.2681 0.6224
P4 0.7463 0.7319 0.1224

Most intense lines, 10 to 90 degrees two-theta, low angle first:
- 4.034 Å, 2θ = 22.04°, I = 84
- 3.380 Å, 2θ = 26.37°, I = 52
- 3.122 Å, 2θ = 28.59°, I = 89
- 3.089 Å, 2θ = 28.90°, I = 93
- 3.076 Å, 2θ = 29.03°, I = 91
- 2.642 Å, 2θ = 33.93°, I = 100
- 2.283 Å, 2θ = 39.47°, I = 46
- 2.273 Å, 2θ = 39.65°, I = 37

---

No. 2
The following is a calculated X-ray diffraction stick pattern of BaMgGa2Pt. It was derived from a DFT-relaxed cell (GGA-PBE, Alexandria), using a wavelength of 1.5418 Å.
Peak positions follow from Bragg's law for the DFT cell and can differ from measured ones.

Structure:
a = 4.5916 Å, b = 4.5998 Å, c = 11.0725 Å
α = 90.00°, β = 90.00°, γ = 90.00°
Element x y z (fractional)
Ba1 0.0000 0.0000 0.0000
Ba2 0.5000 0.5000 0.5000
Mg1 0.0000 0.5000 0.7483
Mg2 0.5000 0.0000 0.2483
Ga1 0.0000 0.0000 0.3944
Ga2 0.0000 0.5000 0.2436
Ga3 0.5000 0.0000 0.7436
Ga4 0.5000 0.5000 0.8944
Pt1 0.0000 0.0000 0.6255
Pt2 0.5000 0.5000 0.1255

Most intense lines, 10 to 90 degrees two-theta, low angle first:
- 4.247 Å, 2θ = 20.92°, I = 39
- 3.250 Å, 2θ = 27.45°, I = 63
- 2.878 Å, 2θ = 31.08°, I = 100
- 2.803 Å, 2θ = 31.93°, I = 72
- 2.298 Å, 2θ = 39.21°, I = 69
- 1.995 Å, 2θ = 45.47°, I = 48
- 1.796 Å, 2θ = 50.85°, I = 51
- 1.507 Å, 2θ = 61.56°, I = 39

---

No. 3
The following is a calculated X-ray diffraction stick pattern of Ba3Mg2Ga4Pt2. It was derived from a DFT-relaxed cell (GGA-PBE, Alexandria), using a wavelength of 1.5418 Å.
Peak positions follow from Bragg's law for the DFT cell and can differ from measured ones.

Structure:
a = 4.4542 Å, b = 4.4542 Å, c = 18.1737 Å
α = 90.00°, β = 90.00°, γ = 120.00°
Element x y z (fractional)
Ba1 0.0000 0.0000 0.0000
Ba2 0.0000 0.0000 0.2625
Ba3 0.0000 0.0000 0.7375
Mg1 0.3333 0.6667 0.5503
Mg2 0.6667 0.3333 0.4497
Ga1 0.3333 0.6667 0.3907
Ga2 0.3333 0.6667 0.8676
Ga3 0.6667 0.3333 0.1324
Ga4 0.6667 0.3333 0.6093
Pt1 0.3333 0.6667 0.1320
Pt2 0.6667 0.3333 0.8680

Most intense lines, 10 to 90 degrees two-theta, low angle first:
- 3.773 Å, 2θ = 23.58°, I = 18
- 3.254 Å, 2θ = 27.41°, I = 49
- 2.941 Å, 2θ = 30.40°, I = 100
- 2.227 Å, 2θ = 40.50°, I = 58
- 1.775 Å, 2θ = 51.47°, I = 23
- 1.690 Å, 2θ = 54.27°, I = 23
- 1.590 Å, 2θ = 57.99°, I = 26
- 1.388 Å, 2θ = 67.47°, I = 20

---

No. 4
The following is a calculated X-ray diffraction stick pattern of Ba2SrMg12Ga3. It was derived from a DFT-relaxed cell (GGA-PBE, Alexandria), using a wavelength of 1.5418 Å.
Peak positions follow from Bragg's law for the DFT cell and can differ from measured ones.

Structure:
a = 9.2835 Å, b = 9.2835 Å, c = 9.2835 Å
α = 62.00°, β = 62.00°, γ = 62.00°
Element x y z (fractional)
Ba1 0.0859 0.0859 0.0859
Ba2 0.9141 0.9141 0.9141
Sr1 0.5000 0.5000 0.5000
Mg1 0.0123 0.6645 0.6645
Mg2 0.2226 0.2226 0.6179
Mg3 0.2226 0.6179 0.2226
Mg4 0.3355 0.3355 0.9877
Mg5 0.3355 0.9877 0.3355
Mg6 0.3821 0.7774 0.7774
Mg7 0.6179 0.2226 0.2226
Mg8 0.6645 0.0123 0.6645
Mg9 0.6645 0.6645 0.0123
Mg10 0.7774 0.3821 0.7774
Mg11 0.7774 0.7774 0.3821
Mg12 0.9877 0.3355 0.3355
Ga1 0.0000 0.5000 0.5000
Ga2 0.5000 0.0000 0.5000
Ga3 0.5000 0.5000 0.0000

Most intense lines, 10 to 90 degrees two-theta, low angle first:
- 4.781 Å, 2θ = 18.56°, I = 55
- 4.072 Å, 2θ = 21.83°, I = 100
- 4.026 Å, 2θ = 22.08°, I = 51
- 3.939 Å, 2θ = 22.57°, I = 50
- 3.883 Å, 2θ = 22.90°, I = 68
- 3.014 Å, 2θ = 29.64°, I = 56
- 2.984 Å, 2θ = 29.95°, I = 79
- 2.391 Å, 2θ = 37.63°, I = 72

---

What did the first record say?
The following is a calculated X-ray diffraction stick pattern of BaMgGaP2. It was derived from a DFT-relaxed cell (GGA-PBE, Alexandria), using a wavelength of 1.5418 Å.
Peak positions follow from Bragg's law for the DFT cell and can differ from measured ones.

Structure:
a = 7.4273 Å, b = 5.7409 Å, c = 6.2449 Å
α = 90.00°, β = 114.49°, γ = 90.00°
Element x y z (fractional)
Ba1 0.0000 0.2350 0.2500
Ba2 0.0000 0.7650 0.7500
Mg1 0.5000 0.4990 0.2500
Mg2 0.5000 0.5010 0.7500
Ga1 0.5000 0.0000 0.0000
Ga2 0.5000 0.0000 0.5000
P1 0.2537 0.2681 0.8776
P2 0.2537 0.7319 0.3776
P3 0.7463 0.2681 0.6224
P4 0.7463 0.7319 0.1224

Most intense lines, 10 to 90 degrees two-theta, low angle first:
- 4.034 Å, 2θ = 22.04°, I = 84
- 3.380 Å, 2θ = 26.37°, I = 52
- 3.122 Å, 2θ = 28.59°, I = 89
- 3.089 Å, 2θ = 28.90°, I = 93
- 3.076 Å, 2θ = 29.03°, I = 91
- 2.642 Å, 2θ = 33.93°, I = 100
- 2.283 Å, 2θ = 39.47°, I = 46
- 2.273 Å, 2θ = 39.65°, I = 37

---

Number 3 is which compound? Ba3Mg2Ga4Pt2